# Ba3Cl2O2
Computed XRD peak list, Cu Kα. Input: a DFT-relaxed cell (PBE, the Materials Project).
Peak positions follow from Bragg's law for the DFT cell and can differ from measured ones.

Principal peaks in the range 2θ = 5–70°, sorted by position:
2theta  I (rel.)
17.61  26
22.06  41
24.87  60
25.05  43
25.44  100
26.50  25
29.41  31
29.71  64
30.15  48
30.55  40
30.66  23
30.96  41

Atomic structure:
```
56
Lattice="12.360 0.000 0.000 0.000 10.600 0.000 -5.411 0.000 13.317" Properties=species:S:1:pos:R:3 pbc="T T T"
Ba -0.458 1.868 1.792
Ba -3.164 3.433 8.450
Ba 0.528 6.215 1.631
Ba -2.178 9.685 8.290
Ba -2.103 6.481 11.359
Ba 0.603 9.420 4.701
Ba 1.850 5.531 5.621
Ba -0.855 10.369 12.279
Ba 2.519 1.671 6.867
Ba 5.225 3.630 0.209
Ba 4.107 0.697 3.080
Ba 1.401 4.603 9.738
Ba 5.548 5.997 3.578
Ba 2.842 9.903 10.237
Ba 1.724 6.971 13.108
Ba 4.430 8.930 6.449
Ba 7.804 0.231 1.037
Ba 5.099 5.069 7.696
Ba 6.346 1.180 8.616
Ba 9.052 4.120 1.957
Ba 9.127 0.915 5.027
Ba 6.421 4.385 11.685
Ba 10.113 7.168 4.866
Ba 7.407 8.733 11.525
Cl -0.144 2.276 4.964
Cl -2.850 3.024 11.623
Cl -1.345 6.000 8.166
Cl 1.361 9.901 1.508
Cl 0.221 1.263 9.353
Cl 2.927 4.037 2.695
Cl 4.272 7.760 1.150
Cl 1.566 8.141 7.808
Cl 5.383 2.460 5.508
Cl 2.677 2.840 12.166
Cl 4.022 6.563 10.622
Cl 6.728 9.337 3.964
Cl 5.588 0.700 11.809
Cl 8.294 4.600 5.150
Cl 9.799 7.576 1.694
Cl 7.093 8.324 8.352
O -4.564 6.430 12.340
O -1.858 9.470 5.682
O 0.142 6.953 4.194
O -2.563 8.948 10.852
O 0.205 5.539 11.737
O 2.910 10.361 5.078
O 5.458 1.153 0.982
O 2.752 4.147 7.640
O 4.197 6.453 5.676
O 1.491 9.447 12.335
O 4.039 0.239 8.238
O 6.744 5.061 1.580
O 9.512 1.653 2.464
O 6.807 3.648 9.122
O 8.807 1.130 7.634
O 11.513 4.170 0.976
```